No. 1
This entry pairs a crystal structure of CaMnGeO4 with its theoretical X-ray diffraction stick pattern. Radiation: Cu Kα X-rays. Structure: a cell relaxed with GGA+U.
Peak positions follow from Bragg's law for the DFT cell and can differ from measured ones.

Largest 12 diffraction maxima, by angle, 2θ from 10° to 90°:
hkl 2 0 0, 2θ 15.49, d = 5.722 Å, I = 40; hkl 2 1 0, 2θ 20.54, d = 4.325 Å, I = 52; hkl 0 2 0, 2θ 26.97, d = 3.306 Å, I = 18; hkl 3 0 1, 2θ 29.13, d = 3.066 Å, I = 39; hkl 3 1 1, 2θ 32.19, d = 2.781 Å, I = 79; hkl 1 2 1, 2θ 33.16, d = 2.702 Å, I = 100; hkl 4 1 0, 2θ 34.15, d = 2.625 Å, I = 21; hkl 1 1 2, 2θ 38.32, d = 2.349 Å, I = 18; hkl 2 2 2, 2θ 47.50, d = 1.914 Å, I = 35; hkl 3 3 1, 2θ 51.07, d = 1.788 Å, I = 21; hkl 5 1 2, 2θ 55.48, d = 1.656 Å, I = 17; hkl 0 4 0, 2θ 55.65, d = 1.652 Å, I = 47

Atomic structure:
Unit cell a=11.444 b=6.606 c=5.152 alpha=90.00 beta=90.00 gamma=90.00
Space group Pnma (No. 62)
Asymmetric unit:
Ca1 0.223 0.250 0.010 (multiplicity 4)
Mn1 0.000 0.000 0.500 (multiplicity 4)
Ge1 0.089 0.750 0.074 (multiplicity 4)
O1 0.052 0.250 0.765 (multiplicity 4)
O2 0.087 0.750 0.732 (multiplicity 4)
O3 0.156 0.537 0.226 (multiplicity 8)


No. 2
This entry pairs a crystal structure of Li9Mn2Co5O16 with its theoretical X-ray diffraction stick pattern. Radiation: Cu Kα X-rays. Structure: a cell relaxed with GGA+U.
Peak positions follow from Bragg's law for the DFT cell and can differ from measured ones.

Largest 12 diffraction maxima, by angle, 2θ from 10° to 90°:
hkl 4 0 0, 2θ 18.30, d = 4.847 Å, I = 100; hkl 2 0 -4, 2θ 35.37, d = 2.538 Å, I = 15; hkl 1 1 2, 2θ 36.19, d = 2.482 Å, I = 26; hkl 3 1 -2, 2θ 37.65, d = 2.389 Å, I = 7; hkl 6 0 -4, 2θ 42.77, d = 2.114 Å, I = 28; hkl 5 1 2, 2θ 43.84, d = 2.065 Å, I = 53; hkl 7 1 -2, 2θ 47.55, d = 1.912 Å, I = 13; hkl 9 1 2, 2θ 57.70, d = 1.598 Å, I = 10; hkl 11 1 -2, 2θ 62.78, d = 1.480 Å, I = 14; hkl 1 1 -6, 2θ 63.06, d = 1.474 Å, I = 21; hkl 0 2 0, 2θ 64.35, d = 1.448 Å, I = 7; hkl 6 2 -4, 2θ 80.39, d = 1.195 Å, I = 6

Atomic structure:
Unit cell a=19.492 b=2.895 c=10.283 alpha=90.00 beta=95.94 gamma=90.00
Space group Cm (No. 8)
Asymmetric unit:
Li1 0.000 0.000 0.000 (multiplicity 2)
Li2 0.000 0.000 0.489 (multiplicity 2)
Li3 0.121 0.500 0.436 (multiplicity 2)
Li4 0.236 0.000 0.381 (multiplicity 2)
Li5 0.236 0.500 0.122 (multiplicity 2)
Li6 0.239 0.500 0.613 (multiplicity 2)
Li7 0.241 0.000 0.870 (multiplicity 2)
Li8 0.497 0.000 0.740 (multiplicity 2)
Li9 0.499 0.000 0.249 (multiplicity 2)
Mn1 0.121 0.000 0.677 (multiplicity 2)
Mn2 0.368 0.000 0.059 (multiplicity 2)
Co1 0.115 0.000 0.204 (multiplicity 2)
Co2 0.119 0.500 0.939 (multiplicity 2)
Co3 0.369 0.000 0.558 (multiplicity 2)
Co4 0.369 0.500 0.312 (multiplicity 2)
Co5 0.370 0.500 0.807 (multiplicity 2)
O1 0.057 0.000 0.330 (multiplicity 2)
O2 0.061 0.500 0.089 (multiplicity 2)
O3 0.064 0.000 0.837 (multiplicity 2)
O4 0.064 0.500 0.601 (multiplicity 2)
O5 0.175 0.500 0.771 (multiplicity 2)
O6 0.177 0.000 0.019 (multiplicity 2)
O7 0.177 0.000 0.544 (multiplicity 2)
O8 0.178 0.500 0.271 (multiplicity 2)
O9 0.310 0.500 0.472 (multiplicity 2)
O10 0.312 0.500 0.979 (multiplicity 2)
O11 0.315 0.000 0.725 (multiplicity 2)
O12 0.318 0.000 0.212 (multiplicity 2)
O13 0.420 0.000 0.903 (multiplicity 2)
O14 0.424 0.000 0.397 (multiplicity 2)
O15 0.425 0.500 0.136 (multiplicity 2)
O16 0.428 0.500 0.647 (multiplicity 2)


No. 3
This entry pairs a crystal structure of Li4V3Cr3Sb2O16 with its theoretical X-ray diffraction stick pattern. Radiation: Cu Kα X-rays. Structure: a cell relaxed with GGA+U.
Peak positions follow from Bragg's law for the DFT cell and can differ from measured ones.

Largest 12 diffraction maxima, by angle, 2θ from 10° to 90°:
hkl 2 0 -1, 2θ 19.34, d = 4.590 Å, I = 100; hkl 1 1 1, 2θ 19.44, d = 4.565 Å, I = 95; hkl 2 0 -2, 2θ 25.05, d = 3.555 Å, I = 29; hkl 2 0 2, 2θ 25.21, d = 3.532 Å, I = 30; hkl 1 1 -3, 2θ 32.54, d = 2.752 Å, I = 35; hkl 2 0 3, 2θ 32.73, d = 2.736 Å, I = 35; hkl 3 1 -2, 2θ 35.05, d = 2.560 Å, I = 32; hkl 0 2 2, 2θ 35.22, d = 2.548 Å, I = 31; hkl 3 1 2, 2θ 35.32, d = 2.541 Å, I = 31; hkl 4 0 -1, 2θ 35.74, d = 2.512 Å, I = 26; hkl 4 0 3, 2θ 44.93, d = 2.018 Å, I = 26; hkl 6 2 0, 2θ 61.91, d = 1.499 Å, I = 44

Atomic structure:
Unit cell a=10.394 b=5.990 c=9.697 alpha=90.00 beta=90.56 gamma=90.00
Space group Cm (No. 8)
Asymmetric unit:
Li1 0.000 0.000 0.000 (multiplicity 2)
Li2 0.000 0.000 0.500 (multiplicity 2)
Li3 0.166 0.500 0.413 (multiplicity 2)
Li4 0.332 0.000 0.910 (multiplicity 2)
V1 0.329 0.500 0.726 (multiplicity 2)
V2 0.416 0.241 0.225 (multiplicity 4)
Cr1 0.085 0.255 0.723 (multiplicity 4)
Cr2 0.169 0.000 0.223 (multiplicity 2)
Sb1 0.166 0.500 0.997 (multiplicity 2)
Sb2 0.333 0.000 0.498 (multiplicity 2)
O1 0.000 0.000 0.814 (multiplicity 2)
O2 0.019 0.500 0.851 (multiplicity 2)
O3 0.085 0.249 0.103 (multiplicity 4)
O4 0.165 0.000 0.605 (multiplicity 2)
O5 0.167 0.500 0.618 (multiplicity 2)
O6 0.239 0.277 0.855 (multiplicity 4)
O7 0.255 0.218 0.354 (multiplicity 4)
O8 0.331 0.000 0.116 (multiplicity 2)
O9 0.334 0.500 0.101 (multiplicity 2)
O10 0.417 0.251 0.604 (multiplicity 4)
O11 0.481 0.000 0.358 (multiplicity 2)
O12 0.499 0.500 0.313 (multiplicity 2)


No. 4
This entry pairs a crystal structure of MgNiO2 with its theoretical X-ray diffraction stick pattern. Radiation: Cu Kα X-rays. Structure: a cell relaxed with GGA+U.
Peak positions follow from Bragg's law for the DFT cell and can differ from measured ones.

Largest 12 diffraction maxima, by angle, 2θ from 10° to 90°:
hkl 0 0 3, 2θ 18.29, d = 4.851 Å, I = 30; hkl 1 0 1, 2θ 35.05, d = 2.560 Å, I = 19; hkl 0 1 2, 2θ 36.69, d = 2.449 Å, I = 35; hkl 0 0 6, 2θ 37.07, d = 2.425 Å, I = 11; hkl 1 0 4, 2θ 42.74, d = 2.116 Å, I = 100; hkl 0 1 5, 2θ 46.85, d = 1.939 Å, I = 8; hkl 1 1 0, 2θ 61.78, d = 1.502 Å, I = 29; hkl 0 1 8, 2θ 62.28, d = 1.491 Å, I = 28; hkl 1 1 3, 2θ 65.02, d = 1.434 Å, I = 5; hkl 2 0 2, 2θ 74.06, d = 1.280 Å, I = 5; hkl 1 1 6, 2θ 74.29, d = 1.277 Å, I = 10; hkl 0 2 4, 2θ 78.03, d = 1.225 Å, I = 13

Atomic structure:
Unit cell a=3.0033 b=3.0033 c=14.5526 alpha=90.00 beta=90.00 gamma=120.00
Space group R-3m (No. 166, hexagonal axes)
Asymmetric unit:
Mg1 0.0000 0.0000 0.0000 (multiplicity 3)
Ni1 0.0000 0.0000 0.5000 (multiplicity 3)
O1 0.0000 0.0000 0.2507 (multiplicity 6)